Starting from a cell relaxed with GGA+U, the X-ray diffraction stick pattern of Li3Co2P5O16 was calculated for CuKα.

Structural model:
Cell: 5.057 6.949 18.239 Å, 90.00 92.63 90.00°
Positions (direct):
Li 0.000 0.019 0.250
Li 0.000 0.981 0.750
Li 0.238 0.316 0.967
Li 0.238 0.684 0.467
Li 0.762 0.316 0.533
Li 0.762 0.684 0.033
Co 0.235 0.175 0.410
Co 0.235 0.825 0.910
Co 0.765 0.175 0.090
Co 0.765 0.825 0.590
P 0.238 0.466 0.124
P 0.238 0.534 0.624
P 0.273 0.127 0.586
P 0.273 0.873 0.086
P 0.500 0.246 0.250
P 0.500 0.754 0.750
P 0.727 0.127 0.914
P 0.727 0.873 0.414
P 0.762 0.466 0.376
P 0.762 0.534 0.876
O 0.057 0.449 0.392
O 0.057 0.551 0.892
O 0.118 0.017 0.131
O 0.118 0.202 0.518
O 0.118 0.798 0.018
O 0.118 0.983 0.631
O 0.307 0.387 0.205
O 0.307 0.613 0.705
O 0.310 0.315 0.641
O 0.310 0.685 0.141
O 0.322 0.135 0.299
O 0.322 0.865 0.799
O 0.414 0.374 0.068
O 0.414 0.626 0.568
O 0.440 0.078 0.929
O 0.440 0.922 0.429
O 0.560 0.078 0.571
O 0.560 0.922 0.071
O 0.586 0.374 0.432
O 0.586 0.626 0.932
O 0.678 0.135 0.201
O 0.678 0.865 0.701
O 0.690 0.315 0.859
O 0.690 0.685 0.359
O 0.693 0.387 0.295
O 0.693 0.613 0.795
O 0.882 0.017 0.369
O 0.882 0.202 0.982
O 0.882 0.798 0.482
O 0.882 0.983 0.869
O 0.943 0.449 0.108
O 0.943 0.551 0.608

Peak list (8 most intense, 2θ from 15° to 90°, low angle first)
(hkl), 2θ/deg, intensity
0 0 4, 19.49, 91
1 1 -1, 22.12, 46
1 1 1, 22.48, 100
0 0 6, 29.41, 48
1 2 -1, 31.51, 53
1 2 1, 31.77, 39
1 1 -5, 32.31, 44
1 2 2, 33.04, 41